Structure and calculated powder diffractogram of KAlCoP2O8 (a PBE+U-relaxed structure; Cu Ka).

Main lines, by angle (2θ from 15° to 90°):
2θ (°), intensity
20.46, 53
22.98, 70
26.10, 80
26.48, 46
26.84, 100
29.04, 47

Structural model:
```
data_KAlCoP2O8
_chemical_formula_sum 'K8 Al8 Co8 P16 O64'
_cell_length_a 13.512
_cell_length_b 13.288
_cell_length_c 8.829
_cell_angle_alpha 90.00
_cell_angle_beta 100.42
_cell_angle_gamma 90.00
_symmetry_space_group_name_H-M 'C 1 c 1'
_symmetry_Int_Tables_number 9
loop_
_symmetry_equiv_pos_as_xyz
'x,y,z'
'x,-y,z+1/2'
'x+1/2,y+1/2,z'
'x+1/2,-y+1/2,z+1/2'
loop_
_atom_site_label
_atom_site_fract_x
_atom_site_fract_y
_atom_site_fract_z
K1 0.000 0.231 0.000
K2 0.357 0.266 0.932
Al1 0.048 0.439 0.325
Al2 0.107 0.128 0.668
Co1 0.264 0.121 0.267
Co2 0.309 0.434 0.592
P1 0.039 0.059 0.310
P2 0.104 0.363 0.680
P3 0.251 0.360 0.228
P4 0.330 0.077 0.631
O1 0.051 0.059 0.802
O2 0.053 0.088 0.484
O3 0.060 0.405 0.519
O4 0.061 0.428 0.800
O5 0.065 0.253 0.696
O6 0.118 0.109 0.231
O7 0.135 0.374 0.237
O8 0.219 0.361 0.710
O9 0.240 0.123 0.702
O10 0.268 0.253 0.176
O11 0.276 0.427 0.098
O12 0.316 0.383 0.387
O13 0.319 0.038 0.119
O14 0.338 0.128 0.479
O15 0.427 0.107 0.748
O16 0.435 0.403 0.735
```